[1]
Simulated X-ray diffraction stick pattern
Compound: Nd4Sb
Radiation: Cu Kα, 1.54184 Å
Structure: a PBE-relaxed structure
Lines closer than 0.1° are merged.

Top 10 peaks for 10 to 90 degrees two-theta, by angle:
- 14.90 deg, I 16
- 21.13 deg, I 15
- 25.96 deg, I 83
- 30.06 deg, I 100
- 43.03 deg, I 75
- 50.94 deg, I 39
- 53.38 deg, I 27
- 68.83 deg, I 16
- 70.88 deg, I 34
- 78.87 deg, I 25

abc: 5.946 5.946 5.946
angles: 90.00 90.00 90.00
Fractional positions:
Nd 0.000 0.000 0.000
Nd 0.000 0.500 0.500
Nd 0.500 0.000 0.500
Nd 0.500 0.500 0.000
Sb 0.500 0.500 0.500

[2]
Simulated X-ray diffraction stick pattern
Compound: La13Pb2
Radiation: Cu Kα, 1.54184 Å
Structure: a PBE-relaxed structure
Lines closer than 0.1° are merged.

Top 10 peaks for 10 to 90 degrees two-theta, by angle:
- 29.57 deg, I 100
- 30.07 deg, I 96
- 33.98 deg, I 35
- 34.31 deg, I 34
- 35.40 deg, I 29
- 48.39 deg, I 12
- 49.88 deg, I 21
- 57.81 deg, I 14
- 58.26 deg, I 13
- 58.70 deg, I 14

abc: 6.357 8.338 10.822
angles: 71.74 74.46 83.81
Fractional positions:
La 0.000 0.000 0.000
La 0.050 0.401 0.732
La 0.195 0.177 0.226
La 0.267 0.590 0.942
La 0.315 0.016 0.647
La 0.426 0.398 0.403
La 0.475 0.797 0.138
La 0.525 0.203 0.862
La 0.574 0.602 0.597
La 0.685 0.984 0.353
La 0.733 0.410 0.058
La 0.805 0.823 0.774
La 0.950 0.599 0.268
Pb 0.144 0.777 0.466
Pb 0.856 0.223 0.534

[3]
Simulated X-ray diffraction stick pattern
Compound: CsPuB2H8
Radiation: Cu Kα, 1.54184 Å
Structure: a PBE-relaxed structure
Lines closer than 0.1° are merged.

Top 10 peaks for 10 to 90 degrees two-theta, by angle:
- 10.45 deg, I 26
- 20.99 deg, I 52
- 25.01 deg, I 100
- 27.86 deg, I 97
- 37.28 deg, I 44
- 42.20 deg, I 32
- 43.17 deg, I 27
- 47.59 deg, I 39
- 51.32 deg, I 18
- 61.61 deg, I 20

abc: 8.818 8.818 8.818
angles: 28.11 28.11 28.11
Fractional positions:
Cs 0.000 0.000 0.000
Pu 0.500 0.500 0.500
B 0.232 0.232 0.232
B 0.768 0.768 0.768
H 0.057 0.057 0.535
H 0.057 0.535 0.057
H 0.281 0.281 0.281
H 0.465 0.943 0.943
H 0.535 0.057 0.057
H 0.719 0.719 0.719
H 0.943 0.465 0.943
H 0.943 0.943 0.465

[4]
Simulated X-ray diffraction stick pattern
Compound: RbPrSeO
Radiation: Cu Kα, 1.54184 Å
Structure: a PBE-relaxed structure
Lines closer than 0.1° are merged.

Top 10 peaks for 10 to 90 degrees two-theta, by angle:
- 11.80 deg, I 21
- 26.04 deg, I 12
- 26.94 deg, I 24
- 30.31 deg, I 100
- 32.63 deg, I 16
- 41.35 deg, I 33
- 45.36 deg, I 35
- 51.85 deg, I 12
- 55.53 deg, I 17
- 74.42 deg, I 14

abc: 3.999 3.999 22.503
angles: 90.00 90.00 120.00
Fractional positions:
Rb 0.000 0.000 0.000
Rb 0.333 0.667 0.667
Rb 0.667 0.333 0.333
Pr 0.000 0.000 0.520
Pr 0.333 0.667 0.187
Pr 0.667 0.333 0.853
Se 0.000 0.000 0.770
Se 0.333 0.667 0.436
Se 0.667 0.333 0.103
O 0.000 0.000 0.229
O 0.333 0.667 0.896
O 0.667 0.333 0.562

[5]
Simulated X-ray diffraction stick pattern
Compound: Er4TlTe2
Radiation: Cu Kα, 1.54184 Å
Structure: a PBE-relaxed structure
Lines closer than 0.1° are merged.

Top 10 peaks for 10 to 90 degrees two-theta, by angle:
- 18.66 deg, I 22
- 26.50 deg, I 40
- 29.76 deg, I 54
- 30.28 deg, I 100
- 35.36 deg, I 75
- 35.53 deg, I 73
- 37.83 deg, I 28
- 40.27 deg, I 21
- 44.87 deg, I 25
- 49.50 deg, I 20

abc: 8.181 8.181 8.181
angles: 108.91 108.91 110.60
Fractional positions:
Er 0.018 0.751 0.653
Er 0.098 0.365 0.347
Er 0.115 0.268 0.767
Er 0.249 0.982 0.347
Er 0.501 0.348 0.233
Er 0.635 0.902 0.653
Er 0.652 0.499 0.767
Er 0.732 0.885 0.233
Tl 0.000 0.000 0.000
Tl 0.750 0.250 0.500
Te 0.334 0.625 0.209
Te 0.375 0.666 0.791
Te 0.416 0.125 0.791
Te 0.875 0.584 0.209

[6]
Simulated X-ray diffraction stick pattern
Compound: RbCrGaPb2
Radiation: Cu Kα, 1.54184 Å
Structure: a PBE-relaxed structure
Lines closer than 0.1° are merged.

Top 10 peaks for 10 to 90 degrees two-theta, by angle:
- 17.17 deg, I 40
- 28.10 deg, I 100
- 31.42 deg, I 65
- 34.74 deg, I 25
- 36.02 deg, I 27
- 45.03 deg, I 24
- 47.54 deg, I 41
- 53.92 deg, I 33
- 58.10 deg, I 22
- 84.91 deg, I 16

abc: 5.695 5.695 5.164
angles: 90.00 90.00 90.00
Fractional positions:
Rb 0.000 0.000 0.000
Cr 0.500 0.500 0.000
Ga 0.500 0.500 0.500
Pb 0.000 0.500 0.500
Pb 0.500 0.000 0.500

[7]
Simulated X-ray diffraction stick pattern
Compound: Rb4Zn3AgF12
Radiation: Cu Kα, 1.54184 Å
Structure: a PBE-relaxed structure
Lines closer than 0.1° are merged.

Top 10 peaks for 10 to 90 degrees two-theta, by angle:
- 14.71 deg, I 2
- 29.67 deg, I 100
- 36.55 deg, I 7
- 42.45 deg, I 42
- 52.65 deg, I 39
- 61.60 deg, I 25
- 69.84 deg, I 17
- 73.80 deg, I 2
- 77.67 deg, I 8
- 85.27 deg, I 20

abc: 7.376 7.376 7.376
angles: 109.47 109.47 109.47
Fractional positions:
Rb 0.000 0.000 0.500
Rb 0.000 0.500 0.000
Rb 0.500 0.000 0.000
Rb 0.500 0.500 0.500
Zn 0.000 0.500 0.500
Zn 0.500 0.000 0.500
Zn 0.500 0.500 0.000
Ag 0.000 0.000 0.000
F 0.000 0.266 0.266
F 0.000 0.734 0.734
F 0.250 0.500 0.750
F 0.250 0.750 0.500
F 0.266 0.000 0.266
F 0.266 0.266 0.000
F 0.500 0.250 0.750
F 0.500 0.750 0.250
F 0.734 0.000 0.734
F 0.734 0.734 0.000
F 0.750 0.250 0.500
F 0.750 0.500 0.250

[8]
Simulated X-ray diffraction stick pattern
Compound: Ac2Ge6OsRu
Radiation: Cu Kα, 1.54184 Å
Structure: a PBE-relaxed structure
Lines closer than 0.1° are merged.

Top 10 peaks for 10 to 90 degrees two-theta, by angle:
- 23.63 deg, I 100
- 25.42 deg, I 29
- 28.06 deg, I 21
- 31.45 deg, I 33
- 34.98 deg, I 61
- 36.64 deg, I 26
- 37.03 deg, I 24
- 41.57 deg, I 37
- 48.35 deg, I 65
- 62.46 deg, I 20

abc: 10.623 10.623 10.623
angles: 41.52 41.52 41.52
Fractional positions:
Ac 0.138 0.138 0.138
Ac 0.289 0.289 0.289
Ac 0.711 0.711 0.711
Ac 0.862 0.862 0.862
Ge 0.139 0.607 0.607
Ge 0.203 0.203 0.747
Ge 0.203 0.747 0.203
Ge 0.253 0.797 0.797
Ge 0.393 0.393 0.861
Ge 0.393 0.861 0.393
Ge 0.607 0.139 0.607
Ge 0.607 0.607 0.139
Ge 0.747 0.203 0.203
Ge 0.797 0.253 0.797
Ge 0.797 0.797 0.253
Ge 0.861 0.393 0.393
Os 0.393 0.393 0.393
Os 0.607 0.607 0.607
Ru 0.000 0.000 0.000
Ru 0.500 0.500 0.500